Entry 1:
Structure and computed X-ray powder pattern of Ni4AsH2 (a structure optimized by DFT (GGA-PBE); Cu Ka).

Top 10 peaks for 10° ≤ 2θ ≤ 90°, most intense first:
- 41.20 deg, intensity 100, (2 2 0)
- 44.65 deg, intensity 99, (1 3 1)
- 27.54 deg, intensity 66, (0 2 1)
- 47.97 deg, intensity 64, (3 1 -1)
- 42.04 deg, intensity 36, (1 1 -3)
- 56.83 deg, intensity 35, (0 4 2)
- 41.93 deg, intensity 35, (1 1 2)
- 20.27 deg, intensity 21, (1 1 0)
- 63.07 deg, intensity 18, (1 5 -1)
- 56.67 deg, intensity 16, (1 1 3)

Structure:
```
data_Ni4AsH2
_cell_length_a 5.950
_cell_length_b 7.668
_cell_length_c 6.732
_cell_angle_alpha 90.00
_cell_angle_beta 115.99
_cell_angle_gamma 90.00
_space_group_name_H-M_alt 'C 1 2/c 1'
_space_group_IT_number 15
loop_
_space_group_symop_operation_xyz
'x,y,z'
'-x,-y,-z'
'-x,y,-z+1/2'
'x,-y,z+1/2'
'x+1/2,y+1/2,z'
'-x+1/2,-y+1/2,-z'
'-x+1/2,y+1/2,-z+1/2'
'x+1/2,-y+1/2,z+1/2'
loop_
_atom_site_label
_atom_site_type_symbol
_atom_site_fract_x
_atom_site_fract_y
_atom_site_fract_z
Ni1 Ni 0.078 0.219 0.074
Ni2 Ni 0.245 0.468 0.572
As1 As 0.000 0.374 0.750
H1 H 0.000 0.000 0.000
H2 H 0.250 0.250 0.500
```

Entry 2:
Structure and computed X-ray powder pattern of BaPdCl4 (a structure optimized by DFT (GGA-PBE); Cu Ka).

Top 10 peaks for 10° ≤ 2θ ≤ 90°, most intense first:
- 27.31 deg, intensity 100, (1 1 2)
- 18.47 deg, intensity 51, (1 1 1)
- 24.58 deg, intensity 43, (1 3 0)
- 31.37 deg, intensity 38, (2 2 1)
- 18.10 deg, intensity 36, (0 2 1)
- 45.14 deg, intensity 28, (2 4 2)
- 44.28 deg, intensity 27, (3 3 0)
- 25.41 deg, intensity 25, (2 0 0)
- 37.72 deg, intensity 24, (1 5 0)
- 45.95 deg, intensity 23, (3 1 2)

Structure:
```
data_BaPdCl4
_cell_length_a 7.012
_cell_length_b 12.691
_cell_length_c 7.715
_cell_angle_alpha 90.00
_cell_angle_beta 90.00
_cell_angle_gamma 90.00
_space_group_name_H-M_alt 'P b c n'
_space_group_IT_number 60
loop_
_space_group_symop_operation_xyz
'x,y,z'
'-x,-y,-z'
'-x+1/2,-y+1/2,z+1/2'
'x+1/2,y+1/2,-z+1/2'
'x+1/2,-y+1/2,-z'
'-x+1/2,y+1/2,z'
'-x,y,-z+1/2'
'x,-y,z+1/2'
loop_
_atom_site_label
_atom_site_type_symbol
_atom_site_fract_x
_atom_site_fract_y
_atom_site_fract_z
Ba1 Ba 0.000 0.147 0.250
Pd1 Pd 0.000 0.500 0.000
Cl1 Cl 0.113 0.328 0.527
Cl2 Cl 0.206 0.063 0.595
```

Entry 3:
Structure and computed X-ray powder pattern of Bi2As2ClO6 (a structure optimized by DFT (GGA-PBE); Cu Ka).

Top 10 peaks for 10° ≤ 2θ ≤ 90°, most intense first:
- 24.44 deg, intensity 100, (0 1 -1)
- 25.21 deg, intensity 89, (-1 1 1)
- 15.49 deg, intensity 49, (0 1 1)
- 20.97 deg, intensity 35, (1 1 1)
- 27.65 deg, intensity 33, (1 1 2)
- 19.83 deg, intensity 30, (1 0 1)
- 35.41 deg, intensity 30, (2 1 1)
- 30.61 deg, intensity 29, (1 2 1)
- 40.26 deg, intensity 29, (2 -1 1)
- 36.28 deg, intensity 26, (1 0 -2)

Structure:
```
data_Bi2As2ClO6
_cell_length_a 5.309
_cell_length_b 6.644
_cell_length_c 7.146
_cell_angle_alpha 64.40
_cell_angle_beta 77.05
_cell_angle_gamma 84.75
_space_group_name_H-M_alt 'P -1'
_space_group_IT_number 2
loop_
_space_group_symop_operation_xyz
'x,y,z'
'-x,-y,-z'
loop_
_atom_site_label
_atom_site_type_symbol
_atom_site_fract_x
_atom_site_fract_y
_atom_site_fract_z
Bi1 Bi 0.191 0.284 0.348
As1 As 0.212 0.865 0.924
Cl1 Cl 0.500 0.500 0.500
O1 O 0.084 0.606 0.116
O2 O 0.126 0.897 0.682
O3 O 0.449 0.170 0.135
```

Entry 4:
Structure and computed X-ray powder pattern of La7Er3Tm (a structure optimized by DFT (GGA-PBE); Cu Ka).

Top 10 peaks for 10° ≤ 2θ ≤ 90°, most intense first:
- 31.91 deg, intensity 100, (0 3 2)
- 31.04 deg, intensity 91, (2 -1 0)
- 31.28 deg, intensity 75, (2 2 2)
- 31.51 deg, intensity 74, (0 0 4)
- 44.81 deg, intensity 22, (-2 1 4)
- 27.60 deg, intensity 21, (1 3 -1)
- 30.03 deg, intensity 18, (1 -1 3)
- 27.08 deg, intensity 16, (1 0 3)
- 55.96 deg, intensity 16, (2 2 -6)
- 56.34 deg, intensity 14, (0 3 -6)

Structure:
```
data_La7Er3Tm
_cell_length_a 7.086
_cell_length_b 10.251
_cell_length_c 11.362
_cell_angle_alpha 89.95
_cell_angle_beta 89.99
_cell_angle_gamma 70.71
_space_group_name_H-M_alt 'P 1'
_space_group_IT_number 1
loop_
_space_group_symop_operation_xyz
'x,y,z'
loop_
_atom_site_label
_atom_site_type_symbol
_atom_site_fract_x
_atom_site_fract_y
_atom_site_fract_z
La1 La 0.000 0.000 0.000
La2 La 0.000 0.000 0.414
La3 La 0.000 0.866 0.707
La4 La 0.219 0.501 0.706
La5 La 0.221 0.592 0.206
La6 La 0.310 0.354 0.433
La7 La 0.310 0.354 0.980
La8 La 0.501 0.000 0.499
La9 La 0.501 0.000 0.914
La10 La 0.504 0.866 0.207
La11 La 0.720 0.502 0.206
La12 La 0.721 0.590 0.706
La13 La 0.810 0.353 0.933
La14 La 0.810 0.354 0.480
Er1 Er 0.135 0.206 0.206
Er2 Er 0.143 0.179 0.706
Er3 Er 0.381 0.685 0.477
Er4 Er 0.381 0.685 0.936
Er5 Er 0.635 0.206 0.706
Er6 Er 0.642 0.181 0.207
Tm1 Tm 0.882 0.683 0.437
Tm2 Tm 0.882 0.683 0.976
```

Entry 5:
Structure and computed X-ray powder pattern of NdNp2Pd9 (a structure optimized by DFT (GGA-PBE); Cu Ka).

Top 10 peaks for 10° ≤ 2θ ≤ 90°, most intense first:
- 37.45 deg, intensity 100, (1 1 3)
- 43.52 deg, intensity 49, (2 0 0)
- 75.86 deg, intensity 37, (3 1 3)
- 63.23 deg, intensity 32, (2 2 0)
- 79.89 deg, intensity 11, (2 2 6)
- 21.36 deg, intensity 9, (0 0 3)
- 30.39 deg, intensity 8, (1 1 0)
- 48.97 deg, intensity 5, (2 0 3)
- 54.00 deg, intensity 4, (1 1 6)
- 67.56 deg, intensity 2, (0 0 9)

Structure:
```
data_NdNp2Pd9
_cell_length_a 4.159
_cell_length_b 4.159
_cell_length_c 12.482
_cell_angle_alpha 90.00
_cell_angle_beta 90.00
_cell_angle_gamma 90.00
_space_group_name_H-M_alt 'P 4/m m m'
_space_group_IT_number 123
_space_group_name_Hall '-P 4 2'
loop_
_atom_site_label
_atom_site_type_symbol
_atom_site_fract_x
_atom_site_fract_y
_atom_site_fract_z
Nd1 Nd 0.000 0.000 0.000
Np1 Np 0.000 0.000 0.334
Pd1 Pd 0.000 0.500 0.172
Pd2 Pd 0.000 0.500 0.500
Pd3 Pd 0.500 0.500 0.000
Pd4 Pd 0.500 0.500 0.335
```

Entry 6:
Structure and computed X-ray powder pattern of Nd3Dy5Sb8 (a structure optimized by DFT (GGA-PBE); Cu Ka).

Top 10 peaks for 10° ≤ 2θ ≤ 90°, most intense first:
- 28.44 deg, intensity 100, (0 2 4)
- 40.66 deg, intensity 76, (2 2 0)
- 66.63 deg, intensity 35, (2 4 4)
- 50.36 deg, intensity 27, (4 0 4)
- 73.98 deg, intensity 26, (6 0 0)
- 58.85 deg, intensity 13, (0 4 8)
- 88.02 deg, intensity 8, (4 4 0)
- 24.57 deg, intensity 3, (0 0 6)
- 48.08 deg, intensity 2, (0 2 10)
- 64.74 deg, intensity 1, (2 0 14)

Structure:
```
data_Nd3Dy5Sb8
_cell_length_a 8.8785
_cell_length_b 8.8785
_cell_length_c 21.7339
_cell_angle_alpha 90.00
_cell_angle_beta 90.00
_cell_angle_gamma 120.00
_space_group_name_H-M_alt 'R -3 m'
_space_group_IT_number 166
_space_group_name_Hall '-R 3 2"'
loop_
_atom_site_label
_atom_site_type_symbol
_atom_site_fract_x
_atom_site_fract_y
_atom_site_fract_z
Nd1 Nd 0.0000 0.5000 0.0000
Dy1 Dy 0.0000 0.0000 0.0000
Dy2 Dy 0.0000 0.0000 0.5000
Dy3 Dy 0.0000 0.5000 0.5000
Sb1 Sb 0.0000 0.0000 0.2470
Sb2 Sb 0.0040 0.5020 0.7520
```

Entry 7:
Structure and computed X-ray powder pattern of RbBa2SrGa (a structure optimized by DFT (GGA-PBE); Cu Ka).

Top 10 peaks for 10° ≤ 2θ ≤ 90°, most intense first:
- 23.21 deg, intensity 100, (1 1 1)
- 26.55 deg, intensity 71, (2 0 0)
- 38.58 deg, intensity 52, (2 0 2)
- 44.91 deg, intensity 34, (3 1 1)
- 27.48 deg, intensity 32, (0 0 2)
- 47.45 deg, intensity 28, (2 2 2)
- 37.90 deg, intensity 27, (2 2 0)
- 68.91 deg, intensity 19, (4 2 2)
- 13.64 deg, intensity 17, (0 0 1)
- 46.10 deg, intensity 16, (1 1 3)

Structure:
```
data_RbBa2SrGa
_cell_length_a 6.715
_cell_length_b 6.715
_cell_length_c 6.492
_cell_angle_alpha 90.00
_cell_angle_beta 90.00
_cell_angle_gamma 90.00
_space_group_name_H-M_alt 'P 4/m m m'
_space_group_IT_number 123
_space_group_name_Hall '-P 4 2'
loop_
_atom_site_label
_atom_site_type_symbol
_atom_site_fract_x
_atom_site_fract_y
_atom_site_fract_z
Rb1 Rb 0.000 0.000 0.000
Ba1 Ba 0.000 0.500 0.500
Sr1 Sr 0.500 0.500 0.000
Ga1 Ga 0.500 0.500 0.500
```

Entry 8:
Structure and computed X-ray powder pattern of Li6AgAu10 (a structure optimized by DFT (GGA-PBE); Cu Ka).

Top 10 peaks for 10° ≤ 2θ ≤ 90°, most intense first:
- 40.45 deg, intensity 100, (1 1 2)
- 28.30 deg, intensity 54, (2 -1 1)
- 73.56 deg, intensity 26, (2 -1 4)
- 58.54 deg, intensity 16, (4 -2 2)
- 35.50 deg, intensity 13, (2 1 0)
- 39.27 deg, intensity 12, (3 -1 1)
- 26.65 deg, intensity 12, (2 0 0)
- 50.10 deg, intensity 11, (0 0 3)
- 66.27 deg, intensity 10, (3 0 3)
- 60.31 deg, intensity 9, (3 2 0)

Structure:
```
data_Li6AgAu10
_cell_length_a 7.7236
_cell_length_b 7.7236
_cell_length_c 5.4644
_cell_angle_alpha 90.00
_cell_angle_beta 90.00
_cell_angle_gamma 120.00
_space_group_name_H-M_alt 'P -3 1 m'
_space_group_IT_number 162
_space_group_name_Hall '-P 3 2'
loop_
_atom_site_label
_atom_site_type_symbol
_atom_site_fract_x
_atom_site_fract_y
_atom_site_fract_z
Li1 Li 0.0000 0.3646 0.3084
Ag1 Ag 0.0000 0.0000 0.5000
Au1 Au 0.0000 0.2921 0.8172
Au2 Au 0.3333 0.6667 0.0000
Au3 Au 0.3333 0.6667 0.5000
```

Entry 9:
Structure and computed X-ray powder pattern of Mn8Mo3Ir (a structure optimized by DFT (GGA-PBE); Cu Ka).

Top 10 peaks for 10° ≤ 2θ ≤ 90°, most intense first:
- 41.54 deg, intensity 100, (0 1 3)
- 45.25 deg, intensity 89, (1 1 2)
- 46.22 deg, intensity 61, (2 0 1)
- 38.39 deg, intensity 57, (1 1 0)
- 71.57 deg, intensity 34, (1 2 3)
- 77.68 deg, intensity 24, (0 2 5)
- 82.22 deg, intensity 21, (2 2 0)
- 74.23 deg, intensity 20, (3 0 2)
- 24.77 deg, intensity 17, (0 1 1)
- 44.62 deg, intensity 15, (2 0 0)

Structure:
```
data_Mn8Mo3Ir
_cell_length_a 4.6898
_cell_length_b 4.6898
_cell_length_c 7.7210
_cell_angle_alpha 90.00
_cell_angle_beta 90.00
_cell_angle_gamma 120.00
_space_group_name_H-M_alt 'P 3 m 1'
_space_group_IT_number 156
loop_
_space_group_symop_operation_xyz
'x,y,z'
'-y,x-y,z'
'-x+y,-x,z'
'-y,-x,z'
'-x+y,y,z'
'x,x-y,z'
loop_
_atom_site_label
_atom_site_type_symbol
_atom_site_fract_x
_atom_site_fract_y
_atom_site_fract_z
Mn1 Mn 0.0000 0.0000 0.0000
Mn2 Mn 0.0000 0.0000 0.4985
Mn3 Mn 0.1731 0.3461 0.7482
Mn4 Mn 0.3465 0.1733 0.2488
Mo1 Mo 0.3333 0.6667 0.0651
Mo2 Mo 0.3333 0.6667 0.4364
Mo3 Mo 0.6667 0.3333 0.9280
Ir1 Ir 0.6667 0.3333 0.5675
```

Entry 10:
Structure and computed X-ray powder pattern of Pr6Fe13Ag (a structure optimized by DFT (GGA-PBE); Cu Ka).

Top 10 peaks for 10° ≤ 2θ ≤ 90°, most intense first:
- 31.34 deg, intensity 100, (2 2 0)
- 35.21 deg, intensity 84, (3 1 0)
- 27.26 deg, intensity 74, (2 1 3)
- 38.02 deg, intensity 58, (2 0 8)
- 42.90 deg, intensity 47, (2 1 9)
- 38.51 deg, intensity 43, (0 0 10)
- 46.62 deg, intensity 43, (0 0 12)
- 50.63 deg, intensity 39, (4 2 0)
- 34.48 deg, intensity 33, (1 1 8)
- 31.94 deg, intensity 32, (2 0 6)

Structure:
```
data_Pr6Fe13Ag
_cell_length_a 8.061
_cell_length_b 8.061
_cell_length_c 23.389
_cell_angle_alpha 90.00
_cell_angle_beta 90.00
_cell_angle_gamma 90.00
_space_group_name_H-M_alt 'I 4/m c m'
_space_group_IT_number 140
_space_group_name_Hall '-I 4 2c'
loop_
_atom_site_label
_atom_site_type_symbol
_atom_site_fract_x
_atom_site_fract_y
_atom_site_fract_z
Pr1 Pr 0.000 0.000 0.105
Pr2 Pr 0.163 0.337 0.185
Fe1 Fe 0.000 0.500 0.000
Fe2 Fe 0.066 0.210 0.500
Fe3 Fe 0.114 0.386 0.406
Fe4 Fe 0.179 0.321 0.058
Ag1 Ag 0.000 0.000 0.250
```

Entry 11:
Structure and computed X-ray powder pattern of Pm2DyRu2 (a structure optimized by DFT (GGA-PBE); Cu Ka).

Top 10 peaks for 10° ≤ 2θ ≤ 90°, most intense first:
- 36.20 deg, intensity 100, (1 3 2)
- 30.97 deg, intensity 65, (0 2 3)
- 32.59 deg, intensity 40, (1 3 1)
- 42.31 deg, intensity 39, (2 0 0)
- 34.99 deg, intensity 36, (1 1 3)
- 28.53 deg, intensity 36, (1 1 2)
- 53.35 deg, intensity 29, (2 2 3)
- 31.31 deg, intensity 28, (1 3 0)
- 32.32 deg, intensity 27, (0 4 1)
- 42.58 deg, intensity 27, (1 1 4)

Structure:
```
data_Pm2DyRu2
_cell_length_a 4.272
_cell_length_b 11.528
_cell_length_c 10.015
_cell_angle_alpha 90.00
_cell_angle_beta 90.00
_cell_angle_gamma 90.00
_space_group_name_H-M_alt 'C m c 21'
_space_group_IT_number 36
loop_
_space_group_symop_operation_xyz
'x,y,z'
'-x,-y,z+1/2'
'-x,y,z'
'x,-y,z+1/2'
'x+1/2,y+1/2,z'
'-x+1/2,-y+1/2,z+1/2'
'-x+1/2,y+1/2,z'
'x+1/2,-y+1/2,z+1/2'
loop_
_atom_site_label
_atom_site_type_symbol
_atom_site_fract_x
_atom_site_fract_y
_atom_site_fract_z
Pm1 Pm 0.000 0.095 0.000
Pm2 Pm 0.000 0.353 0.185
Dy1 Dy 0.000 0.355 0.815
Ru1 Ru 0.000 0.004 0.252
Ru2 Ru 0.000 0.189 0.495
```